Computed PXRD pattern
Compound: Ac2AlZn6Ni
Radiation: Cu Kα (λ = 1.5418 Å)
Structure: a crystal structure in Alexandria, relaxed with PBE
Peak positions follow from Bragg's law for the DFT cell and can differ from measured ones.

Atomic structure:
```
data_Ac2AlZn6Ni
_cell_length_a 6.473
_cell_length_b 6.490
_cell_length_c 6.873
_cell_angle_alpha 89.88
_cell_angle_beta 61.96
_cell_angle_gamma 60.09
_symmetry_space_group_name_H-M 'P -1'
_symmetry_Int_Tables_number 2
loop_
_symmetry_equiv_pos_as_xyz
'x,y,z'
'-x,-y,-z'
loop_
_atom_site_label
_atom_site_fract_x
_atom_site_fract_y
_atom_site_fract_z
Ac1 0.083 0.209 0.128
Al1 0.500 0.500 0.000
Zn1 0.013 0.243 0.646
Zn2 0.401 0.342 0.355
Zn3 0.403 0.755 0.355
Ni1 0.500 0.000 0.500
```

Top 10 peaks for 2θ = 15–90°, by angle:
(hkl)  d (Å)  I_rel
1 1 1  4.713  43.5
1 2 0  3.242  86.3
1 0 -1  2.954  100.0
0 1 -2  2.944  49.6
2 1 0  2.824  47.5
0 2 0  2.680  38.3
2 0 2  2.667  75.7
2 2 2  2.358  41.5
1 0 3  2.264  34.0
3 0 1  1.781  30.5